No. 1
Diffraction record for CrH10S2N4O8. The X-ray diffraction stick pattern is computed, not measured: it uses a cell relaxed with PBE+U and Cu Kα (weighted mean of Kα1 and Kα2).
Neutral-atom scattering factors, no anomalous dispersion.

Most intense lines, 15 to 90 degrees two-theta, in order of falling intensity:
2θ 22.84, I 100, hkl 1 0 1
2θ 24.25, I 97, hkl 1 1 0
2θ 19.28, I 76, hkl 0 1 -1
2θ 30.32, I 40, hkl -1 1 2
2θ 28.61, I 36, hkl 0 1 -2
2θ 32.82, I 32, hkl 2 0 -1
2θ 29.37, I 25, hkl 1 1 1
2θ 15.45, I 22, hkl 0 1 0
2θ 34.83, I 20, hkl -1 2 1
2θ 21.00, I 20, hkl 1 -1 0

Structure:
Cell lengths 5.5684, 5.7949, 7.3750 Å; angles 91.32, 102.91, 97.62 degrees
Space group P-1 (No. 2)
Symmetry-distinct sites (fractional):
1 Cr 0.0000 0.0000 0.0000 (multiplicity 1)
2 H 0.0806 0.2987 0.7253 (multiplicity 2)
3 H 0.1160 0.9286 0.3756 (multiplicity 2)
4 H 0.2524 0.5596 0.1752 (multiplicity 2)
5 H 0.2951 0.5995 0.4121 (multiplicity 2)
6 H 0.4425 0.7981 0.2906 (multiplicity 2)
7 S 0.3443 0.7518 0.7721 (multiplicity 2)
8 N 0.0728 0.8159 0.2592 (multiplicity 2)
9 N 0.2786 0.6812 0.2849 (multiplicity 2)
10 O 0.1444 0.7339 0.8830 (multiplicity 2)
11 O 0.2899 0.5384 0.6435 (multiplicity 2)
12 O 0.3282 0.9636 0.6612 (multiplicity 2)
13 O 0.4074 0.2395 0.1012 (multiplicity 2)

No. 2
Diffraction record for CrH10S2N4O8. The X-ray diffraction stick pattern is computed, not measured: it uses a cell relaxed with PBE+U and Cu Kα (weighted mean of Kα1 and Kα2).
Neutral-atom scattering factors, no anomalous dispersion.

Most intense lines, 15 to 90 degrees two-theta, in order of falling intensity:
2θ 20.46, I 100, hkl 0 1 1
2θ 18.25, I 56, hkl 1 0 -1
2θ 24.34, I 30, hkl 1 1 0
2θ 32.93, I 23, hkl 2 0 -1
2θ 33.28, I 22, hkl 1 -2 0
2θ 16.63, I 22, hkl 1 0 0
2θ 26.01, I 21, hkl 1 -1 1
2θ 19.21, I 16, hkl 0 1 -1
2θ 29.63, I 15, hkl 1 1 1
2θ 49.87, I 12, hkl 2 2 0

Structure:
Cell lengths 5.5365, 5.8044, 7.3480 Å; angles 91.81, 103.37, 97.50 degrees
Space group P-1 (No. 2)
Symmetry-distinct sites (fractional):
1 Cr 0.0000 0.0000 0.0000 (multiplicity 1)
2 H 0.1692 0.2440 0.5550 (multiplicity 2)
3 H 0.2685 0.9172 0.7089 (multiplicity 2)
4 H 0.2855 0.4434 0.7893 (multiplicity 2)
5 H 0.3758 0.1233 0.9291 (multiplicity 2)
6 H 0.4075 0.2921 0.5966 (multiplicity 2)
7 S 0.2266 0.6558 0.2509 (multiplicity 2)
8 N 0.2566 0.0752 0.8188 (multiplicity 2)
9 N 0.2803 0.2764 0.6777 (multiplicity 2)
10 O 0.0940 0.4084 0.2397 (multiplicity 2)
11 O 0.1200 0.8609 0.2679 (multiplicity 2)
12 O 0.3391 0.6706 0.0415 (multiplicity 2)
13 O 0.3552 0.7069 0.4659 (multiplicity 2)